No. 1
Simulated PXRD pattern
Compound: PuMoH4
Radiation: Cu Kα, 1.54184 Å
Structure: a structure optimized by DFT (GGA-PBE)

The 6 most intense peaks (5 to 70 degrees two-theta), low angle first:
two_theta, I (rel.)
32.6, 100
36.1, 18
36.5, 18
52.3, 14
62.8, 15
63.3, 15

Crystal structure
```
PuMoH4
1.0
-2.460 2.485 4.439
2.460 -2.485 4.439
2.460 2.485 -4.439
Pu Mo H
2 2 8
Cartesian
0.000 1.243 1.126 Pu
2.460 1.243 3.313 Pu
2.460 1.243 -1.103 Mo
0.000 1.243 5.542 Mo
1.476 0.000 0.000 H
3.445 0.000 0.000 H
1.230 2.219 -2.219 H
1.230 -0.266 2.219 H
1.476 2.485 0.000 H
0.985 0.000 4.439 H
-1.230 2.751 2.219 H
1.230 2.751 2.219 H
```

***

No. 2
Simulated PXRD pattern
Compound: Ba2TbCl7
Radiation: Cu Kα, 1.54184 Å
Structure: a structure optimized by DFT (GGA-PBE)

The 6 most intense peaks (5 to 70 degrees two-theta), low angle first:
two_theta, I (rel.)
21.2, 100
21.6, 57
34.1, 54
35.3, 84
37.7, 60
42.5, 41

Crystal structure
```
Ba2TbCl7
1.0
6.983 0.000 0.000
0.000 15.694 0.000
-0.132 0.000 10.671
Ba Tb Cl
8 4 28
Cartesian
1.556 3.447 4.819 Ba
1.490 4.400 10.154 Ba
1.586 8.790 3.456 Ba
1.520 14.752 8.792 Ba
5.331 0.943 1.879 Ba
5.265 6.905 7.214 Ba
5.361 11.295 0.517 Ba
5.294 12.247 5.852 Ba
1.844 9.848 8.332 Tb
1.910 13.693 2.996 Tb
4.940 2.001 7.675 Tb
5.006 5.846 2.339 Tb
0.038 11.640 3.213 Cl
-0.028 11.902 8.548 Cl
0.011 9.504 6.234 Cl
0.077 14.038 0.898 Cl
1.337 0.621 3.075 Cl
1.271 7.226 8.411 Cl
1.393 10.016 0.286 Cl
1.327 13.526 5.621 Cl
2.554 1.102 6.649 Cl
2.621 6.745 1.314 Cl
3.442 11.410 3.126 Cl
3.376 12.132 8.462 Cl
3.410 9.484 6.099 Cl
3.476 14.057 0.763 Cl
3.375 1.637 9.907 Cl
3.441 6.210 4.572 Cl
3.475 3.562 2.209 Cl
3.409 4.285 7.545 Cl
4.230 8.949 9.357 Cl
4.296 14.592 4.021 Cl
5.523 2.168 5.049 Cl
5.457 5.679 10.385 Cl
5.580 8.468 2.260 Cl
5.514 15.073 7.596 Cl
6.774 1.657 9.772 Cl
6.840 6.191 4.437 Cl
6.879 3.793 2.123 Cl
6.813 4.055 7.458 Cl
```

***

No. 3
Simulated PXRD pattern
Compound: Nb5VFe2Se20
Radiation: Cu Kα, 1.54184 Å
Structure: a structure optimized by DFT (GGA-PBE)

The 6 most intense peaks (5 to 70 degrees two-theta), low angle first:
two_theta, I (rel.)
9.5, 79
15.7, 48
31.4, 100
35.5, 44
37.4, 29
52.7, 21

Crystal structure
```
Nb5VFe2Se20
1.0
6.946 0.000 0.000
-3.463 10.023 0.000
-3.357 -3.858 9.455
Nb V Fe Se
5 1 2 20
Cartesian
0.000 0.000 0.000 Nb
-1.753 3.228 2.419 Nb
-0.247 0.511 5.126 Nb
0.112 -3.811 9.445 Nb
1.756 3.180 2.439 Nb
2.111 -1.170 6.833 V
-1.769 -1.226 6.933 Fe
3.634 0.561 4.987 Fe
-3.312 0.580 7.373 Se
-5.072 4.486 8.344 Se
-1.825 2.510 5.071 Se
-0.020 1.203 2.476 Se
-1.711 8.436 1.263 Se
0.014 4.844 1.226 Se
-1.647 -1.844 9.344 Se
-3.378 7.112 6.858 Se
0.015 4.851 3.590 Se
1.834 -1.018 4.454 Se
0.053 0.324 7.553 Se
-1.628 4.525 8.297 Se
1.823 2.307 5.046 Se
3.498 1.199 2.545 Se
1.736 8.405 1.206 Se
3.458 4.817 1.151 Se
1.876 -1.826 9.372 Se
0.164 6.920 6.813 Se
5.101 -1.310 4.535 Se
3.461 4.934 3.523 Se
```

***

No. 4
Simulated PXRD pattern
Compound: TaAl5
Radiation: Cu Kα, 1.54184 Å
Structure: a structure optimized by DFT (GGA-PBE)

The 6 most intense peaks (5 to 70 degrees two-theta), low angle first:
two_theta, I (rel.)
19.6, 31
22.8, 100
35.9, 34
36.3, 31
39.9, 23
41.3, 94

Crystal structure
```
TaAl5
1.0
4.997 0.000 0.000
-2.499 4.328 0.000
0.000 0.000 9.043
Ta Al
2 10
Cartesian
0.000 2.885 2.261 Ta
2.499 1.443 6.782 Ta
0.000 0.000 2.261 Al
0.000 0.000 6.782 Al
-0.840 1.455 4.521 Al
-1.659 2.873 0.000 Al
0.000 2.885 6.782 Al
1.680 0.000 4.521 Al
0.840 1.455 0.000 Al
3.318 0.000 0.000 Al
1.659 2.873 4.521 Al
2.499 1.443 2.261 Al
```